[1]
# TaMn2AsBr
Calculated powder diffraction line list, Cu Kα. Input: a cell relaxed with GGA-PBE.
Neutral-atom scattering factors, no anomalous dispersion.

Peak list (10 most intense, 10° ≤ 2θ ≤ 80°, in order of rising 2θ)
| Position (°2θ) | I (rel.) |
| --- | --- |
| 16.87 | 82 |
| 23.94 | 61 |
| 24.96 | 73 |
| 34.11 | 100 |
| 37.02 | 40 |
| 42.73 | 35 |
| 44.57 | 24 |
| 49.01 | 35 |
| 51.21 | 62 |
| 62.98 | 33 |

```
TaMn2AsBr
1.0
5.257 0.000 0.000
0.000 5.257 0.000
0.000 0.000 4.857
Ta Mn As Br
1 2 1 1
direct
0.000 0.000 0.000
0.000 0.500 0.000
0.500 0.000 0.000
0.000 0.000 0.500
0.500 0.500 0.500
```

=====

[2]
# TaVRh
Calculated powder diffraction line list, Cu Kα. Input: a cell relaxed with GGA-PBE.
Neutral-atom scattering factors, no anomalous dispersion.

Peak list (10 most intense, 10° ≤ 2θ ≤ 80°, in order of rising 2θ)
| Position (°2θ) | I (rel.) |
| --- | --- |
| 22.17 | 45 |
| 27.68 | 34 |
| 39.72 | 100 |
| 40.51 | 48 |
| 40.65 | 48 |
| 41.84 | 86 |
| 55.42 | 19 |
| 71.70 | 17 |
| 71.89 | 17 |
| 74.40 | 29 |

```
TaVRh
1.0
4.462 0.000 0.000
0.000 9.339 0.000
-0.452 0.000 4.453
Ta V Rh
4 4 4
direct
0.000 0.092 0.250
0.000 0.908 0.750
0.500 0.408 0.750
0.500 0.592 0.250
0.000 0.429 0.250
0.000 0.571 0.750
0.500 0.071 0.750
0.500 0.929 0.250
0.000 0.247 0.750
0.000 0.753 0.250
0.500 0.253 0.250
0.500 0.747 0.750
```

=====

[3]
# PmCdPdO4
Calculated powder diffraction line list, Cu Kα. Input: a cell relaxed with GGA-PBE.
Neutral-atom scattering factors, no anomalous dispersion.

Peak list (10 most intense, 10° ≤ 2θ ≤ 80°, in order of rising 2θ)
| Position (°2θ) | I (rel.) |
| --- | --- |
| 16.45 | 35 |
| 25.00 | 32 |
| 29.79 | 100 |
| 30.39 | 93 |
| 33.25 | 78 |
| 35.01 | 70 |
| 46.72 | 38 |
| 47.93 | 35 |
| 51.27 | 26 |
| 57.44 | 36 |

```
PmCdPdO4
1.0
4.967 -4.121 0.000
4.967 4.121 0.000
-4.958 0.000 5.106
Pm Cd Pd O
2 2 2 8
direct
0.000 0.000 0.000
0.000 0.000 0.500
0.415 0.585 0.750
0.585 0.415 0.250
0.000 0.500 0.000
0.500 0.000 0.500
0.211 0.214 0.958
0.214 0.211 0.458
0.268 0.702 0.043
0.298 0.732 0.457
0.702 0.268 0.543
0.732 0.298 0.957
0.786 0.789 0.542
0.789 0.786 0.042
```

=====

[4]
# Ac12PrCo5
Calculated powder diffraction line list, Cu Kα. Input: a cell relaxed with GGA-PBE.
Neutral-atom scattering factors, no anomalous dispersion.

Peak list (10 most intense, 10° ≤ 2θ ≤ 80°, in order of rising 2θ)
| Position (°2θ) | I (rel.) |
| --- | --- |
| 24.51 | 29 |
| 25.98 | 47 |
| 26.25 | 61 |
| 26.75 | 100 |
| 27.95 | 35 |
| 28.02 | 40 |
| 29.85 | 39 |
| 31.97 | 55 |
| 42.66 | 37 |
| 45.84 | 30 |

```
Ac12PrCo5
1.0
7.323 0.000 0.000
3.651 6.475 0.000
2.241 2.143 13.579
Ac Pr Co
12 1 5
direct
0.000 0.000 0.000
0.010 0.455 0.746
0.305 0.921 0.225
0.334 0.326 0.001
0.357 0.598 0.498
0.383 0.709 0.747
0.621 0.255 0.228
0.669 0.661 0.002
0.703 0.085 0.736
0.790 0.733 0.498
0.892 0.178 0.460
0.973 0.590 0.225
0.288 0.147 0.552
0.049 0.838 0.620
0.316 0.627 0.109
0.650 0.961 0.110
0.759 0.413 0.620
0.984 0.291 0.115
```

=====

[5]
# La4Nd5Sm
Calculated powder diffraction line list, Cu Kα. Input: a cell relaxed with GGA-PBE.
Neutral-atom scattering factors, no anomalous dispersion.

Peak list (10 most intense, 10° ≤ 2θ ≤ 80°, in order of rising 2θ)
| Position (°2θ) | I (rel.) |
| --- | --- |
| 27.64 | 23 |
| 28.89 | 100 |
| 30.09 | 46 |
| 30.41 | 35 |
| 35.43 | 32 |
| 37.48 | 15 |
| 50.98 | 16 |
| 52.02 | 28 |
| 56.71 | 14 |
| 59.66 | 18 |

```
La4Nd5Sm
1.0
10.748 0.000 0.000
0.000 10.748 0.000
0.000 0.000 6.111
La Nd Sm
8 10 2
direct
0.049 0.750 0.130
0.250 0.549 0.870
0.250 0.951 0.870
0.451 0.750 0.130
0.549 0.250 0.870
0.750 0.049 0.130
0.750 0.451 0.130
0.951 0.250 0.870
0.090 0.090 0.345
0.090 0.410 0.345
0.250 0.750 0.500
0.410 0.090 0.345
0.410 0.410 0.345
0.590 0.590 0.655
0.590 0.910 0.655
0.750 0.250 0.500
0.910 0.590 0.655
0.910 0.910 0.655
0.250 0.250 0.835
0.750 0.750 0.165
```

=====

[6]
# LiScCdHg4
Calculated powder diffraction line list, Cu Kα. Input: a cell relaxed with GGA-PBE.
Neutral-atom scattering factors, no anomalous dispersion.

Peak list (10 most intense, 10° ≤ 2θ ≤ 80°, in order of rising 2θ)
| Position (°2θ) | I (rel.) |
| --- | --- |
| 17.62 | 45 |
| 24.99 | 38 |
| 27.09 | 34 |
| 30.12 | 100 |
| 32.59 | 82 |
| 33.92 | 35 |
| 34.92 | 42 |
| 35.68 | 32 |
| 43.03 | 81 |
| 45.84 | 39 |

```
LiScCdHg4
1.0
2.856 -10.068 0.000
2.856 10.068 0.000
0.000 0.000 6.209
Li Sc Cd Hg
2 2 2 8
direct
0.070 0.930 0.750
0.930 0.070 0.250
0.362 0.638 0.750
0.638 0.362 0.250
0.358 0.642 0.250
0.642 0.358 0.750
0.000 0.500 0.000
0.000 0.500 0.500
0.086 0.914 0.250
0.498 0.502 0.250
0.500 0.000 0.000
0.500 0.000 0.500
0.502 0.498 0.750
0.914 0.086 0.750
```

=====

[7]
# Ti6NbPb
Calculated powder diffraction line list, Cu Kα. Input: a cell relaxed with GGA-PBE.
Neutral-atom scattering factors, no anomalous dispersion.

Peak list (10 most intense, 10° ≤ 2θ ≤ 80°, in order of rising 2θ)
| Position (°2θ) | I (rel.) |
| --- | --- |
| 15.97 | 25 |
| 25.66 | 29 |
| 27.47 | 15 |
| 37.91 | 25 |
| 38.22 | 100 |
| 40.54 | 22 |
| 53.61 | 10 |
| 56.70 | 15 |
| 68.68 | 15 |
| 72.21 | 14 |

```
Ti6NbPb
1.0
4.451 0.000 0.000
0.000 6.840 0.000
0.000 0.000 9.493
Ti Nb Pb
12 2 2
direct
0.000 0.000 0.000
0.000 0.222 0.760
0.000 0.278 0.260
0.000 0.500 0.500
0.000 0.722 0.260
0.000 0.778 0.760
0.500 0.000 0.793
0.500 0.237 0.525
0.500 0.263 0.025
0.500 0.500 0.293
0.500 0.737 0.025
0.500 0.763 0.525
0.000 0.000 0.516
0.000 0.500 0.016
0.500 0.000 0.267
0.500 0.500 0.767
```

=====

[8]
# Pr2H3O
Calculated powder diffraction line list, Cu Kα. Input: a cell relaxed with GGA-PBE.
Neutral-atom scattering factors, no anomalous dispersion.

Peak list (9 most intense, 10° ≤ 2θ ≤ 80°, in order of rising 2θ)
| Position (°2θ) | I (rel.) |
| --- | --- |
| 22.47 | 1 |
| 27.61 | 100 |
| 31.98 | 44 |
| 45.86 | 43 |
| 54.37 | 45 |
| 57.00 | 12 |
| 66.87 | 7 |
| 73.80 | 18 |
| 76.06 | 15 |

```
Pr2H3O
1.0
5.596 0.000 0.000
0.000 5.596 0.000
0.000 0.000 5.596
Pr H O
4 6 2
direct
0.000 0.000 0.000
0.000 0.500 0.500
0.500 0.000 0.500
0.500 0.500 0.000
0.250 0.250 0.750
0.250 0.750 0.250
0.250 0.750 0.750
0.750 0.250 0.250
0.750 0.250 0.750
0.750 0.750 0.250
0.250 0.250 0.250
0.750 0.750 0.750
```

=====

[9]
# Ca8Mg3Au2
Calculated powder diffraction line list, Cu Kα. Input: a cell relaxed with GGA-PBE.
Neutral-atom scattering factors, no anomalous dispersion.

Peak list (10 most intense, 10° ≤ 2θ ≤ 80°, in order of rising 2θ)
| Position (°2θ) | I (rel.) |
| --- | --- |
| 10.60 | 100 |
| 15.73 | 48 |
| 19.01 | 61 |
| 19.75 | 35 |
| 22.46 | 55 |
| 31.76 | 45 |
| 32.74 | 67 |
| 33.34 | 85 |
| 37.66 | 31 |
| 43.67 | 33 |

```
Ca8Mg3Au2
1.0
4.496 -8.342 0.000
4.496 8.342 0.000
0.000 0.000 5.634
Ca Mg Au
8 3 2
direct
0.109 0.891 0.000
0.152 0.411 0.500
0.309 0.691 0.000
0.411 0.152 0.500
0.589 0.848 0.500
0.691 0.309 0.000
0.848 0.589 0.500
0.891 0.109 0.000
0.000 0.000 0.500
0.327 0.327 0.000
0.673 0.673 0.000
0.225 0.775 0.500
0.775 0.225 0.500
```

=====

[10]
# BaHfRh2Cl
Calculated powder diffraction line list, Cu Kα. Input: a cell relaxed with GGA-PBE.
Neutral-atom scattering factors, no anomalous dispersion.

Peak list (10 most intense, 10° ≤ 2θ ≤ 80°, in order of rising 2θ)
| Position (°2θ) | I (rel.) |
| --- | --- |
| 12.13 | 75 |
| 18.75 | 86 |
| 24.39 | 100 |
| 29.36 | 34 |
| 30.94 | 51 |
| 38.03 | 62 |
| 45.70 | 72 |
| 49.80 | 28 |
| 60.91 | 30 |
| 64.49 | 26 |

```
BaHfRh2Cl
1.0
4.733 0.000 0.000
0.000 4.733 0.000
0.000 0.000 7.299
Ba Hf Rh Cl
1 1 2 1
direct
0.000 0.000 0.000
0.000 0.000 0.500
0.000 0.500 0.500
0.500 0.000 0.500
0.500 0.500 0.000
```

=====

[11]
# Dy4TePt
Calculated powder diffraction line list, Cu Kα. Input: a cell relaxed with GGA-PBE.
Neutral-atom scattering factors, no anomalous dispersion.

Peak list (10 most intense, 10° ≤ 2θ ≤ 80°, in order of rising 2θ)
| Position (°2θ) | I (rel.) |
| --- | --- |
| 31.04 | 100 |
| 31.39 | 24 |
| 32.21 | 55 |
| 32.67 | 44 |
| 34.23 | 83 |
| 37.32 | 31 |
| 38.99 | 31 |
| 40.05 | 29 |
| 46.02 | 36 |
| 60.67 | 24 |

```
Dy4TePt
1.0
8.306 0.000 0.000
0.000 3.945 0.000
0.000 0.000 19.585
Dy Te Pt
16 4 4
direct
0.016 0.250 0.069
0.041 0.750 0.217
0.137 0.750 0.652
0.143 0.750 0.449
0.357 0.250 0.949
0.363 0.250 0.152
0.459 0.250 0.717
0.484 0.750 0.569
0.516 0.250 0.431
0.541 0.750 0.283
0.637 0.750 0.848
0.643 0.750 0.051
0.857 0.250 0.551
0.863 0.250 0.348
0.959 0.250 0.783
0.984 0.750 0.931
0.243 0.250 0.314
0.257 0.750 0.814
0.743 0.250 0.186
0.757 0.750 0.686
0.228 0.250 0.550
0.272 0.750 0.050
0.728 0.250 0.950
0.772 0.750 0.450
```

=====

[12]
# Hf2TaBi2
Calculated powder diffraction line list, Cu Kα. Input: a cell relaxed with GGA-PBE.
Neutral-atom scattering factors, no anomalous dispersion.

Peak list (10 most intense, 10° ≤ 2θ ≤ 80°, in order of rising 2θ)
| Position (°2θ) | I (rel.) |
| --- | --- |
| 32.76 | 9 |
| 34.82 | 100 |
| 36.75 | 46 |
| 47.04 | 20 |
| 54.37 | 11 |
| 61.14 | 22 |
| 68.67 | 9 |
| 69.88 | 21 |
| 73.49 | 11 |
| 79.40 | 14 |

```
Hf2TaBi2
1.0
7.734 0.000 0.000
0.000 7.734 0.000
0.000 0.000 3.863
Hf Ta Bi
4 2 4
direct
0.149 0.351 0.000
0.351 0.851 0.000
0.649 0.149 0.000
0.851 0.649 0.000
0.000 0.000 0.500
0.500 0.500 0.500
0.151 0.651 0.500
0.349 0.151 0.500
0.651 0.849 0.500
0.849 0.349 0.500
```